Theoretical XRD peak list of Li2SmAlSn2 for Cu Kα (λ = 1.5418 Å), from a structure optimized by DFT (GGA-PBE).

Most intense lines, 2θ from 10° to 90°, low angle first:
2theta  I/Imax  h k l
10.49  85.9  0 1 0
24.22  60.3  0 2 1
25.51  75.1  1 1 1
32.95  100.0  1 1 2
37.84  51.4  1 3 0
40.40  31.3  2 0 0

Cell and atoms:
Unit cell a=4.465 b=8.431 c=7.503 alpha=90.00 beta=90.00 gamma=90.00
Space group Pmc2_1 (No. 26)
Inequivalent atoms, fractional coordinates:
Li 0.000 0.078 0.000 x2
Li 0.500 0.165 0.333 x2
Sm 0.500 0.443 0.966 x2
Al 0.000 0.321 0.637 x2
Sn 0.000 0.352 0.252 x2
Sn 0.500 0.144 0.711 x2

***

Theoretical XRD peak list of Li3AlSn2 for Cu Kα (λ = 1.5418 Å), from a structure optimized by DFT (GGA-PBE).

Most intense lines, 2θ from 10° to 90°, low angle first:
2theta  I/Imax  h k l
24.73  20.4  0 4 0
24.84  100.0  1 2 1
39.72  41.1  0 4 2
43.60  22.0  1 6 1
43.80  16.9  2 0 2
50.94  26.2  3 2 1

Cell and atoms:
Unit cell a=5.857 b=14.402 c=5.835 alpha=90.00 beta=90.00 gamma=90.00
Space group Ibam (No. 72)
Inequivalent atoms, fractional coordinates:
Li 0.000 0.000 0.250 x4
Li 0.241 0.334 0.000 x8
Al 0.000 0.500 0.250 x4
Sn 0.239 0.135 0.000 x8

***

Theoretical XRD peak list of LiAlSn for Cu Kα (λ = 1.5418 Å), from a structure optimized by DFT (GGA-PBE).

Most intense lines, 2θ from 10° to 90°, low angle first:
2theta  I/Imax  h k l
20.17  99.5  1 0 -1
22.95  70.2  1 0 1
28.31  56.1  0 1 0
35.63  53.7  0 0 3
36.73  100.0  1 1 1
40.04  57.4  1 1 -2

Cell and atoms:
Unit cell a=4.951 b=3.152 c=7.633 alpha=90.00 beta=97.98 gamma=90.00
Space group P2/m (No. 10)
Inequivalent atoms, fractional coordinates:
Li 0.244 0.000 0.179 x2
Al 0.000 0.000 0.500 x1
Al 0.500 0.500 0.500 x1
Sn 0.254 0.500 0.829 x2

***

Theoretical XRD peak list of LiAlSn for Cu Kα (λ = 1.5418 Å), from a structure optimized by DFT (GGA-PBE).

Most intense lines, 2θ from 10° to 90°, low angle first:
2theta  I/Imax  h k l
19.70  29.6  0 0 1
20.37  34.9  0 1 0
28.46  100.0  1 0 0
34.81  19.0  1 0 1
40.01  15.5  0 0 2
40.67  59.1  1 1 1

Cell and atoms:
Unit cell a=3.142 b=4.360 c=4.506 alpha=90.00 beta=90.00 gamma=90.00
Space group Pmmm (No. 47)
Inequivalent atoms, fractional coordinates:
Li 0.000 0.000 0.000 x1
Al 0.500 0.500 0.000 x1
Sn 0.500 0.000 0.500 x1

***

Theoretical XRD peak list of Sr3Li2Al3 for Cu Kα (λ = 1.5418 Å), from a structure optimized by DFT (GGA-PBE).

Most intense lines, 2θ from 10° to 90°, low angle first:
2theta  I/Imax  h k l
18.14  36.2  1 1 0
26.25  22.3  1 1 3
31.15  100.0  1 3 2
33.23  31.8  2 0 0
34.26  30.9  1 3 3
58.09  20.0  3 3 2

Cell and atoms:
Unit cell a=5.392 b=11.621 c=14.154 alpha=90.00 beta=90.00 gamma=90.00
Space group Cmcm (No. 63)
Inequivalent atoms, fractional coordinates:
Sr 0.000 0.049 0.250 x4
Sr 0.000 0.148 0.537 x8
Li 0.000 0.336 0.162 x8
Al 0.000 0.274 0.750 x4
Al 0.000 0.437 0.591 x8

***

Theoretical XRD peak list of SrLi14Al for Cu Kα (λ = 1.5418 Å), from a structure optimized by DFT (GGA-PBE).

Most intense lines, 2θ from 10° to 90°, low angle first:
2theta  I/Imax  h k l
10.54  100.0  0 0 1
17.62  43.3  1 1 1
22.01  39.1  0 2 1
23.22  35.4  2 0 1
30.34  36.9  2 2 1
35.67  70.2  2 2 2

Cell and atoms:
Unit cell a=8.612 b=9.214 c=8.393 alpha=90.00 beta=90.00 gamma=90.00
Space group Cmmm (No. 65)
Inequivalent atoms, fractional coordinates:
Sr 0.000 0.000 0.000 x2
Li 0.000 0.000 0.500 x2
Li 0.000 0.276 0.256 x8
Li 0.000 0.500 0.500 x2
Li 0.226 0.500 0.262 x8
Li 0.250 0.250 0.000 x4
Li 0.250 0.250 0.500 x4
Al 0.000 0.500 0.000 x2

***

Theoretical XRD peak list of SrLi2Al6 for Cu Kα (λ = 1.5418 Å), from a structure optimized by DFT (GGA-PBE).

Most intense lines, 2θ from 10° to 90°, low angle first:
2theta  I/Imax  h k l
13.90  39.7  0 1 1
27.98  100.0  1 1 2
32.64  52.8  1 2 1
42.00  28.0  2 0 0
42.56  30.1  0 3 3
49.06  24.3  1 2 5

Cell and atoms:
Unit cell a=4.305 b=7.438 c=12.355 alpha=90.00 beta=90.00 gamma=90.00
Space group Immm (No. 71)
Inequivalent atoms, fractional coordinates:
Sr 0.000 0.000 0.000 x2
Li 0.000 0.500 0.118 x4
Al 0.000 0.168 0.500 x4
Al 0.000 0.312 0.306 x8

***

Theoretical XRD peak list of SrLi4Al for Cu Kα (λ = 1.5418 Å), from a structure optimized by DFT (GGA-PBE).

Most intense lines, 2θ from 10° to 90°, low angle first:
2theta  I/Imax  h k l
19.13  100.0  2 0 0
22.77  45.0  2 0 2
27.18  41.7  2 2 0
31.35  68.4  2 0 4
36.98  43.6  2 2 4
43.62  31.0  4 2 0

Cell and atoms:
Unit cell a=9.272 b=9.287 c=14.477 alpha=90.00 beta=90.00 gamma=90.00
Space group Fmmm (No. 69)
Inequivalent atoms, fractional coordinates:
Sr 0.250 0.250 0.000 x8
Li 0.000 0.154 0.171 x16
Li 0.154 0.000 0.330 x16
Al 0.250 0.250 0.250 x8

***

Theoretical XRD peak list of Sr3Li8Al for Cu Kα (λ = 1.5418 Å), from a structure optimized by DFT (GGA-PBE).

Most intense lines, 2θ from 10° to 90°, low angle first:
2theta  I/Imax  h k l
18.02  100.0  0 1 2
28.68  55.7  0 1 8
29.82  66.2  1 1 0
33.58  26.2  1 0 10
34.57  39.5  1 1 6
35.06  27.9  2 0 2

Cell and atoms:
Unit cell a=5.9924 b=5.9924 c=31.1154 alpha=90.00 beta=90.00 gamma=120.00
Space group R3m (No. 160, hexagonal axes)
Inequivalent atoms, fractional coordinates:
Sr 0.0000 0.0000 0.0000 x3
Sr 0.0000 0.0000 0.1303 x3
Sr 0.0000 0.0000 0.5247 x3
Li 0.0000 0.0000 0.3184 x3
Li 0.0000 0.0000 0.8234 x3
Li 0.1699 0.3397 0.9098 x9
Li 0.1721 0.3442 0.3973 x9
Al 0.0000 0.0000 0.6372 x3

***

Theoretical XRD peak list of Sr3Li3Al2 for Cu Kα (λ = 1.5418 Å), from a structure optimized by DFT (GGA-PBE).

Most intense lines, 2θ from 10° to 90°, low angle first:
2theta  I/Imax  h k l
18.09  61.6  1 1 0
18.97  38.5  0 2 2
23.15  25.6  0 2 3
29.96  50.0  1 1 4
30.32  100.0  1 3 2
33.33  35.7  2 0 0

Cell and atoms:
Unit cell a=5.376 b=11.973 c=15.025 alpha=90.00 beta=90.00 gamma=90.00
Space group Cmcm (No. 63)
Inequivalent atoms, fractional coordinates:
Sr 0.000 0.040 0.250 x4
Sr 0.000 0.158 0.530 x8
Li 0.000 0.259 0.750 x4
Li 0.000 0.461 0.597 x8
Al 0.000 0.313 0.162 x8

***

Theoretical XRD peak list of Li2TaAl2 for Cu Kα (λ = 1.5418 Å), from a structure optimized by DFT (GGA-PBE).

Most intense lines, 2θ from 10° to 90°, low angle first:
2theta  I/Imax  h k l
16.86  100.0  1 1 0
23.93  51.4  2 0 0
36.39  33.5  1 1 1
38.26  52.6  3 1 0
40.36  29.6  2 0 1
50.72  42.4  3 1 1

Cell and atoms:
Unit cell a=7.439 b=7.439 c=2.796 alpha=90.00 beta=90.00 gamma=90.00
Space group P4/mbm (No. 127)
Inequivalent atoms, fractional coordinates:
Li 0.159 0.341 0.000 x4
Ta 0.000 0.000 0.500 x2
Al 0.140 0.640 0.500 x4

***

Theoretical XRD peak list of LiTaAl for Cu Kα (λ = 1.5418 Å), from a structure optimized by DFT (GGA-PBE).

Most intense lines, 2θ from 10° to 90°, low angle first:
2theta  I/Imax  h k l
13.23  100.0  0 0 1
26.63  16.6  0 0 2
34.25  15.7  1 1 1
39.50  12.0  0 2 2
40.95  16.6  1 1 2
41.27  16.2  0 2 -1

Cell and atoms:
Unit cell a=2.879 b=5.356 c=6.886 alpha=76.92 beta=89.90 gamma=74.61
Space group P-1 (No. 2)
Inequivalent atoms, fractional coordinates:
Li 0.190 0.117 0.124 x2
Ta 0.140 0.226 0.528 x2
Al 0.478 0.544 0.192 x2

***

Theoretical XRD peak list of LiTb5Al3 for Cu Kα (λ = 1.5418 Å), from a structure optimized by DFT (GGA-PBE).

Most intense lines, 2θ from 10° to 90°, low angle first:
2theta  I/Imax  h k l
23.92  74.6  1 1 1
33.83  100.0  1 1 2
34.34  96.3  3 0 0
48.97  33.6  2 2 2
61.18  31.3  4 1 2
67.62  28.6  3 0 4

Cell and atoms:
Unit cell a=9.0471 b=9.0471 c=6.5373 alpha=90.00 beta=90.00 gamma=120.00
Space group P6_3/mcm (No. 193)
Inequivalent atoms, fractional coordinates:
Li 0.0000 0.0000 0.0000 x2
Tb 0.0000 0.3080 0.2500 x6
Tb 0.3333 0.6667 0.0000 x4
Al 0.0000 0.3526 0.7500 x6